# 1
Calculated powder diffractogram of Ag2IrF5 for Cu Kα (λ = 1.5418 Å), from a cell relaxed with PBE.
Lines closer than 0.1° are merged.

Crystal structure
```
data_Ag2IrF5
_cell_length_a 4.0716
_cell_length_b 12.1908
_cell_length_c 11.5725
_cell_angle_alpha 90.00
_cell_angle_beta 90.00
_cell_angle_gamma 90.00
_symmetry_space_group_name_H-M 'C m c m'
_symmetry_Int_Tables_number 63
_symmetry_space_group_name_Hall '-C 2c 2'
loop_
_atom_site_label
_atom_site_fract_x
_atom_site_fract_y
_atom_site_fract_z
_atom_site_occupancy
Ag1 0.0000 0.1393 0.0692 1
Ir1 0.0000 0.1580 0.7500 1
F1 0.0000 0.0485 0.6190 1
F2 0.0000 0.2696 0.6184 1
F3 0.0000 0.3153 0.2500 1
```

The 12 most intense peaks (2θ = 5–70°), by angle:
two_theta	d/Å	I/Imax	hkl
14.53	6.095	27	0 2 0
16.44	5.393	23	0 2 1
23.03	3.862	75	1 1 0
27.36	3.260	100	0 2 3
29.30	3.048	23	0 4 0
31.09	2.876	49	1 3 0
32.82	2.729	57	1 1 3
37.61	2.391	22	0 4 3
44.48	2.037	33	2 0 0
49.57	1.839	49	1 5 3
53.04	1.726	42	2 2 3
57.54	1.602	29	1 7 0

***

# 2
Calculated powder diffractogram of AgIrF7 for Cu Kα (λ = 1.5418 Å), from a cell relaxed with PBE.
Lines closer than 0.1° are merged.

Crystal structure
```
data_AgIrF7
_cell_length_a 7.9394
_cell_length_b 7.3221
_cell_length_c 10.6151
_cell_angle_alpha 90.00
_cell_angle_beta 90.00
_cell_angle_gamma 90.00
_symmetry_space_group_name_H-M 'P n m a'
_symmetry_Int_Tables_number 62
loop_
_symmetry_equiv_pos_as_xyz
'x,y,z'
'-x,-y,-z'
'-x+1/2,-y,z+1/2'
'x+1/2,y,-z+1/2'
'x+1/2,-y+1/2,-z+1/2'
'-x+1/2,y+1/2,z+1/2'
'-x,y+1/2,-z'
'x,-y+1/2,z'
loop_
_atom_site_label
_atom_site_fract_x
_atom_site_fract_y
_atom_site_fract_z
_atom_site_occupancy
Ag1 0.1482 0.2500 0.2443 1
Ir1 0.1945 0.7500 0.0595 1
F1 0.0239 0.2500 0.0140 1
F2 0.0907 0.2500 0.6317 1
F3 0.0997 0.7500 0.6952 1
F4 0.1196 0.5692 0.1779 1
F5 0.2359 0.0710 0.4389 1
```

The 12 most intense peaks (2θ = 5–70°), by angle:
two_theta	d/Å	I/Imax	hkl
13.93	6.358	16	1 0 1
18.48	4.801	100	1 1 1
20.12	4.412	24	1 0 2
22.40	3.970	15	2 0 0
23.93	3.718	21	2 0 1
24.31	3.661	37	0 2 0
28.01	3.185	47	0 1 3
30.66	2.916	23	2 1 2
31.76	2.817	18	1 2 2
43.64	2.074	12	1 2 4
45.13	2.009	17	0 3 3
55.09	1.667	13	2 2 5

***

# 3
Calculated powder diffractogram of LiAg2IrF6 for Cu Kα (λ = 1.5418 Å), from a cell relaxed with PBE.
Lines closer than 0.1° are merged.

Crystal structure
```
data_LiAg2IrF6
_cell_length_a 5.4996
_cell_length_b 5.9110
_cell_length_c 8.0716
_cell_angle_alpha 90.00
_cell_angle_beta 90.00
_cell_angle_gamma 90.00
_symmetry_space_group_name_H-M 'I m m m'
_symmetry_Int_Tables_number 71
_symmetry_space_group_name_Hall '-I 2 2'
loop_
_atom_site_label
_atom_site_fract_x
_atom_site_fract_y
_atom_site_fract_z
_atom_site_occupancy
Li1 0.0000 0.0000 0.0000 1
Ag1 0.0000 0.5000 0.2610 1
Ir1 0.0000 0.0000 0.5000 1
F1 0.0000 0.0000 0.2491 1
F2 0.2412 0.2592 0.5000 1
```

The 12 most intense peaks (2θ = 5–70°), by angle:
two_theta	d/Å	I/Imax	hkl
18.61	4.769	33	0 1 1
19.53	4.545	46	1 0 1
30.24	2.956	28	0 2 0
31.38	2.850	100	1 1 2
32.56	2.750	23	2 0 0
36.26	2.478	18	1 2 1
37.75	2.383	17	2 1 1
44.92	2.018	18	0 0 4
45.03	2.013	36	2 2 0
54.44	1.685	21	1 3 2
57.36	1.606	18	3 1 2
65.49	1.425	21	2 2 4

***

# 4
Calculated powder diffractogram of KAg5F7 for Cu Kα (λ = 1.5418 Å), from a cell relaxed with PBE.
Lines closer than 0.1° are merged.

Crystal structure
```
data_KAg5F7
_cell_length_a 11.7419
_cell_length_b 3.6057
_cell_length_c 20.0806
_cell_angle_alpha 90.00
_cell_angle_beta 90.05
_cell_angle_gamma 90.00
_symmetry_space_group_name_H-M 'C 1 2/m 1'
_symmetry_Int_Tables_number 12
loop_
_symmetry_equiv_pos_as_xyz
'x,y,z'
'-x,-y,-z'
'-x,y,-z'
'x,-y,z'
'x+1/2,y+1/2,z'
'-x+1/2,-y+1/2,-z'
'-x+1/2,y+1/2,-z'
'x+1/2,-y+1/2,z'
loop_
_atom_site_label
_atom_site_fract_x
_atom_site_fract_y
_atom_site_fract_z
_atom_site_occupancy
K1 0.1714 0.0000 0.2502 1
Ag1 0.0000 0.0000 0.0000 1
Ag2 0.0000 0.0000 0.5000 1
Ag3 0.0725 0.5000 0.6487 1
Ag4 0.0731 0.5000 0.8511 1
Ag5 0.1988 0.5000 0.0696 1
Ag6 0.1992 0.5000 0.4305 1
F1 0.9997 0.5000 0.2500 1
F2 0.0585 0.0000 0.1108 1
F3 0.0594 0.0000 0.3891 1
F4 0.1452 0.5000 0.5408 1
F5 0.1458 0.5000 0.9592 1
F6 0.2148 0.0000 0.6689 1
F7 0.2156 0.0000 0.8309 1
```

The 12 most intense peaks (2θ = 5–70°), by angle:
two_theta	d/Å	I/Imax	hkl
8.81	10.040	100	0 0 2
26.90	3.315	62	2 0 -5
29.14	3.064	36	1 1 3
30.76	2.906	88	2 0 6
31.48	2.842	56	1 1 4
34.10	2.629	64	3 1 -1
35.00	2.564	91	3 1 2
36.44	2.465	38	3 1 3
39.03	2.308	38	2 0 8
50.63	1.803	33	0 2 0
52.76	1.735	31	1 1 10
54.06	1.696	42	5 1 -6

***

# 5
Calculated powder diffractogram of KAg2F5 for Cu Kα (λ = 1.5418 Å), from a cell relaxed with PBE.
Lines closer than 0.1° are merged.

Crystal structure
```
data_KAg2F5
_cell_length_a 4.2480
_cell_length_b 4.2480
_cell_length_c 14.9223
_cell_angle_alpha 90.00
_cell_angle_beta 90.00
_cell_angle_gamma 90.00
_symmetry_space_group_name_H-M 'I 4/m m m'
_symmetry_Int_Tables_number 139
_symmetry_space_group_name_Hall '-I 4 2'
loop_
_atom_site_label
_atom_site_fract_x
_atom_site_fract_y
_atom_site_fract_z
_atom_site_occupancy
K1 0.0000 0.0000 0.0000 1
Ag1 0.0000 0.0000 0.3448 1
F1 0.0000 0.0000 0.5000 1
F2 0.0000 0.5000 0.1482 1
```

The 12 most intense peaks (2θ = 5–70°), by angle:
two_theta	d/Å	I/Imax	hkl
21.75	4.086	34	1 0 1
23.85	3.731	18	0 0 4
27.61	3.230	100	1 0 3
29.74	3.004	30	1 1 0
36.12	2.487	22	0 0 6
42.56	2.124	34	2 0 0
47.46	1.916	16	1 1 6
47.73	1.905	11	1 0 7
49.37	1.846	9	2 0 4
51.49	1.775	34	2 1 3
57.02	1.615	21	2 0 6
61.77	1.502	10	2 2 0

***

# 6
Calculated powder diffractogram of K4Ag3F12 for Cu Kα (λ = 1.5418 Å), from a cell relaxed with PBE.
Lines closer than 0.1° are merged.

Crystal structure
```
data_K4Ag3F12
_cell_length_a 9.3404
_cell_length_b 9.3404
_cell_length_c 9.3404
_cell_angle_alpha 90.00
_cell_angle_beta 90.00
_cell_angle_gamma 90.00
_symmetry_space_group_name_H-M 'I m -3'
_symmetry_Int_Tables_number 204
_symmetry_space_group_name_Hall '-I 2 2 3'
loop_
_atom_site_label
_atom_site_fract_x
_atom_site_fract_y
_atom_site_fract_z
_atom_site_occupancy
K1 0.2500 0.2500 0.2500 1
Ag1 0.0000 0.0000 0.5000 1
F1 0.0000 0.1526 0.3494 1
```

The 12 most intense peaks (2θ = 5–70°), by angle:
two_theta	d/Å	I/Imax	hkl
13.41	6.605	49	1 1 0
19.00	4.670	21	2 0 0
23.33	3.813	26	2 1 1
27.00	3.302	100	2 2 0
30.26	2.954	14	3 0 1
38.55	2.335	19	4 0 0
41.00	2.202	11	3 3 0
45.55	1.991	7	3 3 2
47.70	1.907	56	4 2 2
55.67	1.651	11	4 4 0
59.37	1.557	10	6 0 0
62.93	1.477	20	6 0 2